Simulated powder XRD pattern of Li3V2O3F3 for Cu Kα (λ = 1.5418 Å), from a GGA+U-relaxed structure.

Most intense lines, 10 to 90 degrees two-theta, low angle first:
2θ/deg  Rel. int.  index
19.89  66  0 0 3
26.63  100  0 0 4
31.31  62  0 1 0
32.04  60  1 0 0
32.61  63  1 1 1
33.24  64  1 0 -1
33.46  60  0 0 5
33.82  60  1 1 2
55.70  52  1 -1 0
56.78  48  1 2 1

abc: 3.1759 3.2463 13.5073
angles: 83.65 83.44 61.86
Fractional coordinates of all 11 atoms:
1 Li 0.0000 0.0000 0.0000
2 Li 0.1233 0.1074 0.6405
3 Li 0.3950 0.3940 0.8200
4 V 0.2678 0.2544 0.2118
5 V 0.5264 0.5168 0.4397
6 O 0.1802 0.1521 0.4680
7 O 0.5735 0.5513 0.2962
8 O 0.9510 0.9495 0.1498
9 F 0.0743 0.0615 0.7830
10 F 0.3460 0.3552 0.9623
11 F 0.4673 0.4627 0.6079